For Li5NbO5, a cell relaxed with GGA-PBE gives the simulated powder diffraction line list in this record (Cu Kα).
Neutral-atom scattering factors, no anomalous dispersion.

Crystal structure
a b c (Å): 5.334 5.334 5.885
angles (deg): 107.42 107.42 44.80
Sites, in units of the cell vectors:
Li  0.000  0.000  0.000
Li  0.287  0.287  0.156
Li  0.308  0.308  0.640
Li  0.692  0.692  0.360
Li  0.713  0.713  0.844
Nb  0.000  0.000  0.500
O  0.145  0.145  0.325
O  0.158  0.158  0.817
O  0.500  0.500  0.500
O  0.842  0.842  0.183
O  0.855  0.855  0.675

Most intense lines, 10 to 80 degrees two-theta, most intense first:
2theta, d_spacing, I_rel
15.92, 5.568, 100
23.88, 3.727, 87
20.50, 4.333, 52
19.02, 4.666, 32
27.01, 3.301, 25
41.69, 2.167, 25
28.67, 3.114, 24
42.88, 2.109, 23
44.58, 2.033, 22
30.54, 2.927, 17
55.73, 1.650, 15
62.67, 1.482, 13

For Mg2Nb2SnO8, a cell relaxed with GGA-PBE gives the simulated powder diffraction line list in this record (Cu Kα).
Neutral-atom scattering factors, no anomalous dispersion.

Crystal structure
a b c (Å): 10.881 10.881 5.308
angles (deg): 91.02 91.02 32.68
Sites, in units of the cell vectors:
Mg  0.089  0.371  0.244
Mg  0.371  0.089  0.744
Mg  0.629  0.911  0.256
Mg  0.911  0.629  0.756
Nb  0.201  0.545  0.266
Nb  0.455  0.799  0.234
Nb  0.545  0.201  0.766
Nb  0.799  0.455  0.734
Sn  0.194  0.806  0.750
Sn  0.806  0.194  0.250
O  0.050  0.343  0.882
O  0.053  0.809  0.384
O  0.191  0.947  0.116
O  0.196  0.420  0.547
O  0.328  0.504  0.956
O  0.343  0.050  0.382
O  0.420  0.196  0.047
O  0.496  0.672  0.544
O  0.504  0.328  0.456
O  0.580  0.804  0.953
O  0.657  0.950  0.618
O  0.672  0.496  0.044
O  0.804  0.580  0.453
O  0.809  0.053  0.884
O  0.947  0.191  0.616
O  0.950  0.657  0.118

Most intense lines, 10 to 80 degrees two-theta, most intense first:
2theta, d_spacing, I_rel
25.80, 3.453, 100
25.48, 3.496, 98
33.79, 2.653, 75
31.14, 2.872, 62
30.69, 2.913, 54
19.31, 4.597, 39
49.21, 1.852, 29
48.73, 1.869, 26
29.18, 3.061, 23
60.45, 1.532, 21
48.47, 1.878, 21
34.36, 2.610, 20

For MgCoCu2SnS4, a cell relaxed with GGA-PBE gives the simulated powder diffraction line list in this record (Cu Kα).
Neutral-atom scattering factors, no anomalous dispersion.

Crystal structure
a b c (Å): 5.524 6.300 6.580
angles (deg): 118.41 114.59 90.34
Sites, in units of the cell vectors:
Mg  0.000  0.000  0.000
Co  0.499  0.001  0.998
Cu  0.275  0.275  0.548
Cu  0.725  0.726  0.450
Sn  0.998  0.498  0.995
S  0.139  0.063  0.717
S  0.422  0.938  0.281
S  0.576  0.657  0.716
S  0.861  0.346  0.281

Most intense lines, 10 to 80 degrees two-theta, most intense first:
2theta, d_spacing, I_rel
27.70, 3.220, 100
27.79, 3.210, 34
45.85, 1.979, 30
48.66, 1.871, 26
43.45, 2.083, 20
43.72, 2.071, 19
28.34, 3.150, 18
30.93, 2.891, 15
49.70, 1.834, 12
49.88, 1.828, 12
32.42, 2.762, 11
58.80, 1.570, 11

For ZrP2O10, a cell relaxed with GGA-PBE gives the simulated powder diffraction line list in this record (Cu Kα).
Neutral-atom scattering factors, no anomalous dispersion.

Crystal structure
a b c (Å): 5.448 6.707 12.574
angles (deg): 90.00 98.53 90.00
Sites, in units of the cell vectors:
Zr  0.195  0.000  0.369
Zr  0.805  0.500  0.631
P  0.247  0.501  0.444
P  0.357  0.574  0.811
P  0.643  0.074  0.189
P  0.753  0.001  0.556
O  0.063  0.163  0.004
O  0.072  0.503  0.530
O  0.076  0.558  0.055
O  0.094  0.504  0.766
O  0.196  0.313  0.374
O  0.199  0.688  0.373
O  0.366  0.800  0.835
O  0.439  0.493  0.927
O  0.460  0.010  0.264
O  0.481  0.001  0.500
O  0.519  0.501  0.500
O  0.540  0.510  0.736
O  0.561  0.993  0.073
O  0.634  0.300  0.165
O  0.801  0.188  0.627
O  0.804  0.813  0.626
O  0.906  0.004  0.234
O  0.924  0.058  0.945
O  0.928  0.003  0.470
O  0.937  0.663  0.996

Most intense lines, 10 to 80 degrees two-theta, most intense first:
2theta, d_spacing, I_rel
15.01, 5.903, 100
23.40, 3.802, 56
25.09, 3.550, 42
26.58, 3.353, 39
20.14, 4.408, 34
32.96, 2.718, 18
40.99, 2.202, 16
27.55, 3.238, 15
28.45, 3.137, 14
18.90, 4.696, 14
32.04, 2.793, 13
26.96, 3.308, 12

For KRb2DyCl6, a cell relaxed with GGA-PBE gives the simulated powder diffraction line list in this record (Cu Kα).
Neutral-atom scattering factors, no anomalous dispersion.

Crystal structure
a b c (Å): 7.966 7.966 7.966
angles (deg): 60.00 60.00 60.00
Sites, in units of the cell vectors:
K  0.000  0.000  0.000
Rb  0.250  0.250  0.250
Rb  0.750  0.750  0.750
Dy  0.500  0.500  0.500
Cl  0.266  0.266  0.734
Cl  0.266  0.734  0.266
Cl  0.266  0.734  0.734
Cl  0.734  0.266  0.266
Cl  0.734  0.266  0.734
Cl  0.734  0.734  0.266

Most intense lines, 10 to 80 degrees two-theta, most intense first:
2theta, d_spacing, I_rel
22.32, 3.983, 100
31.77, 2.816, 77
45.55, 1.991, 52
39.18, 2.300, 45
13.61, 6.504, 44
61.61, 1.505, 26
51.29, 1.781, 23
75.48, 1.260, 21
26.24, 3.397, 18
56.60, 1.626, 17
27.43, 3.252, 16
15.73, 5.633, 14

For NpH3, a cell relaxed with GGA-PBE gives the simulated powder diffraction line list in this record (Cu Kα).
Neutral-atom scattering factors, no anomalous dispersion.

Crystal structure
a b c (Å): 6.347 6.347 6.622
angles (deg): 90.00 90.00 120.00
Sites, in units of the cell vectors:
Np  0.000  0.337  0.250
Np  0.000  0.663  0.750
Np  0.337  0.000  0.250
Np  0.337  0.337  0.750
Np  0.663  0.000  0.750
Np  0.663  0.663  0.250
H  0.000  0.000  0.250
H  0.000  0.000  0.750
H  0.015  0.340  0.907
H  0.015  0.675  0.407
H  0.325  0.340  0.407
H  0.325  0.985  0.907
H  0.333  0.667  0.165
H  0.333  0.667  0.665
H  0.340  0.015  0.593
H  0.340  0.325  0.093
H  0.660  0.675  0.907
H  0.660  0.985  0.407
H  0.667  0.333  0.335
H  0.667  0.333  0.835
H  0.675  0.015  0.093
H  0.675  0.660  0.593
H  0.985  0.325  0.593
H  0.985  0.660  0.093

Most intense lines, 10 to 80 degrees two-theta, most intense first:
2theta, d_spacing, I_rel
31.25, 2.862, 100
26.93, 3.311, 33
50.35, 1.812, 28
57.48, 1.603, 25
28.12, 3.174, 22
49.76, 1.832, 20
39.32, 2.291, 18
59.94, 1.543, 17
77.74, 1.228, 11
73.50, 1.288, 9
78.20, 1.222, 8
63.36, 1.468, 5

For KZnAs, a cell relaxed with GGA-PBE gives the simulated powder diffraction line list in this record (Cu Kα).
Neutral-atom scattering factors, no anomalous dispersion.

Crystal structure
a b c (Å): 4.261 4.261 5.260
angles (deg): 90.00 90.00 120.00
Sites, in units of the cell vectors:
K  0.000  0.000  0.000
Zn  0.333  0.667  0.500
As  0.667  0.333  0.500

Most intense lines, 10 to 80 degrees two-theta, most intense first:
2theta, d_spacing, I_rel
29.57, 3.021, 100
16.86, 5.260, 55
42.43, 2.131, 49
55.51, 1.655, 42
34.09, 2.630, 30
45.96, 1.975, 26
52.56, 1.741, 18
69.75, 1.348, 15
58.26, 1.584, 13
69.43, 1.354, 8
77.62, 1.230, 7
24.12, 3.690, 7

For LiYSiO4, a cell relaxed with GGA-PBE gives the simulated powder diffraction line list in this record (Cu Kα).
Neutral-atom scattering factors, no anomalous dispersion.

Crystal structure
a b c (Å): 5.452 6.251 10.940
angles (deg): 90.00 113.62 90.00
Sites, in units of the cell vectors:
Li  0.082  0.134  0.430
Li  0.082  0.366  0.930
Li  0.918  0.634  0.070
Li  0.918  0.866  0.570
Y  0.446  0.616  0.653
Y  0.446  0.884  0.153
Y  0.554  0.116  0.847
Y  0.554  0.384  0.347
Si  0.096  0.652  0.359
Si  0.096  0.848  0.859
Si  0.904  0.152  0.141
Si  0.904  0.348  0.641
O  0.185  0.663  0.976
O  0.185  0.837  0.476
O  0.226  0.071  0.945
O  0.226  0.429  0.445
O  0.230  0.141  0.224
O  0.230  0.359  0.724
O  0.242  0.663  0.253
O  0.242  0.837  0.753
O  0.758  0.163  0.247
O  0.758  0.337  0.747
O  0.770  0.641  0.276
O  0.770  0.859  0.776
O  0.774  0.571  0.555
O  0.774  0.929  0.055
O  0.815  0.163  0.524
O  0.815  0.337  0.024

Most intense lines, 10 to 80 degrees two-theta, most intense first:
2theta, d_spacing, I_rel
16.71, 5.304, 100
24.12, 3.689, 61
30.33, 2.947, 57
33.08, 2.708, 49
17.73, 5.002, 46
22.77, 3.905, 41
33.22, 2.697, 35
36.89, 2.437, 34
33.05, 2.711, 33
50.95, 1.792, 28
44.44, 2.039, 27
38.12, 2.361, 20